Diffraction record for LaTa2O4. The X-ray powder pattern is simulated, not measured: it uses a cell relaxed with GGA-PBE and Cu Kα.
No peak broadening, texture or thermal motion is included.

Principal peaks in the range 5 to 70 degrees two-theta, in order of rising 2θ:
(hkl)  2θ/deg  d (Å)  I/Imax
1 1 1  16.62  5.334  19
2 2 0  27.30  3.266  21
3 1 1  32.13  2.786  100
2 2 2  33.60  2.667  35
5 1 1  51.39  1.778  40
4 4 0  56.33  1.633  40

Crystal structure
abc: 9.2387 9.2387 9.2387
angles: 90.00 90.00 90.00
Space group Fd-3m (No. 227, origin choice 2)
Symmetry-distinct sites (fractional):
La 0.1250 0.1250 0.1250 [8 per cell]
Ta 0.0000 0.0000 0.5000 [16 per cell]
O 0.0177 0.0177 0.7323 [32 per cell]